Simulated powder diffractogram
Compound: YSnF7
Radiation: λ = 1.5418 Å (Cu Kα)
Structure: a cell relaxed with GGA-PBE
No peak broadening, texture or thermal motion is included.

Crystal structure
```
data_YSnF7
_chemical_formula_sum 'Y2 Sn2 F14'
_cell_length_a 6.049
_cell_length_b 5.788
_cell_length_c 8.273
_cell_angle_alpha 90.00
_cell_angle_beta 103.19
_cell_angle_gamma 90.00
_space_group_name_H-M_alt 'P 1 21 1'
_space_group_IT_number 4
loop_
_space_group_symop_operation_xyz
'x,y,z'
'-x,y+1/2,-z'
loop_
_atom_site_label
_atom_site_type_symbol
_atom_site_fract_x
_atom_site_fract_y
_atom_site_fract_z
Y1 Y 0.154 0.000 0.189
Sn1 Sn 0.315 0.006 0.726
F1 F 0.028 0.718 0.013
F2 F 0.068 0.770 0.704
F3 F 0.098 0.273 0.705
F4 F 0.272 0.002 0.480
F5 F 0.369 0.008 0.973
F6 F 0.437 0.739 0.264
F7 F 0.443 0.263 0.257
```

Principal peaks in the range 2θ from 10° to 90°, in order of rising 2θ:
2theta  d/Å  I/Imax  index
21.53  4.128  100  1 1 0
22.07  4.027  38  0 0 2
22.58  3.938  16  1 1 -1
25.78  3.456  15  1 1 1
28.38  3.145  24  1 1 -2
43.49  2.081  17  2 2 -1
43.86  2.064  12  2 2 0
47.17  1.927  12  2 2 1
47.79  1.903  22  3 1 -1
51.34  1.779  13  1 2 3